Starting from a DFT-relaxed cell (PBE, Alexandria), the powder XRD pattern of Er4Tl3O was simulated for Cu Kα.

Peak list (10 most intense, 2θ from 10° to 90°, sorted by position)
| 2theta | d [Å] | intensity |
| --- | --- | --- |
| 26.64 | 3.346 | 59 |
| 29.63 | 3.015 | 62 |
| 32.68 | 2.740 | 100 |
| 32.83 | 2.728 | 21 |
| 34.49 | 2.600 | 20 |
| 35.16 | 2.552 | 19 |
| 37.30 | 2.411 | 64 |
| 39.31 | 2.292 | 21 |
| 50.54 | 1.806 | 20 |
| 61.52 | 1.507 | 28 |

Cell: 7.2227 8.8989 6.9529 Å, 90.00 90.00 90.00°
Space group Pmn2_1 (No. 31)
Symmetry-distinct sites (fractional):
Er 0.0000 0.1099 0.0000 x2
Er 0.0000 0.7358 0.3196 x2
Er 0.2369 0.7799 0.8806 x4
Tl 0.0000 0.0058 0.5826 x2
Tl 0.2201 0.4642 0.0682 x4
O 0.0000 0.8621 0.0447 x2

=====

Starting from a DFT-relaxed cell (PBE, Alexandria), the powder XRD pattern of La2Nd6Tm was simulated for Cu Kα.

Peak list (10 most intense, 2θ from 10° to 90°, sorted by position)
| 2theta | d [Å] | intensity |
| --- | --- | --- |
| 28.11 | 3.174 | 44 |
| 29.35 | 3.043 | 44 |
| 31.05 | 2.880 | 57 |
| 32.61 | 2.746 | 100 |
| 41.09 | 2.197 | 28 |
| 49.75 | 1.833 | 34 |
| 55.15 | 1.665 | 30 |
| 58.82 | 1.570 | 37 |
| 60.76 | 1.524 | 19 |
| 82.26 | 1.172 | 14 |

Cell: 3.6655 3.6655 27.3872 Å, 90.00 90.00 120.00°
Space group P-6m2 (No. 187)
Symmetry-distinct sites (fractional):
La 0.0000 0.0000 0.1712 x2
Nd 0.0000 0.0000 0.3955 x2
Nd 0.6667 0.3333 0.0622 x2
Nd 0.6667 0.3333 0.2859 x2
Tm 0.6667 0.3333 0.5000 x1

=====

Starting from a DFT-relaxed cell (PBE, Alexandria), the powder XRD pattern of HfNi7Ge2 was simulated for Cu Kα.

Peak list (10 most intense, 2θ from 10° to 90°, sorted by position)
| 2theta | d [Å] | intensity |
| --- | --- | --- |
| 15.49 | 5.719 | 72 |
| 26.75 | 3.332 | 73 |
| 27.05 | 3.296 | 39 |
| 34.93 | 2.569 | 22 |
| 38.25 | 2.353 | 40 |
| 41.70 | 2.166 | 55 |
| 44.18 | 2.050 | 50 |
| 47.39 | 1.918 | 100 |
| 47.63 | 1.909 | 78 |
| 62.37 | 1.489 | 32 |

Cell: 6.5922 11.4932 4.1001 Å, 90.00 90.00 90.00°
Space group Cmmm (No. 65)
Symmetry-distinct sites (fractional):
Hf 0.0000 0.0000 0.0000 x2
Ni 0.0000 0.2155 0.0000 x4
Ni 0.0000 0.5000 0.5000 x2
Ni 0.1818 0.1114 0.5000 x8
Ge 0.0000 0.3011 0.5000 x4